Record 1
Structure and simulated X-ray diffraction stick pattern of EuVSe2O8 (a structure optimized by DFT (PBE+U); CuKα).

Largest 12 diffraction maxima, sorted by position, 2θ = 5–70°:
6.4 deg, d 13.781, I = 872
25.1 deg, d 3.554, I = 743
25.9 deg, d 3.446, I = 1000
25.9 deg, d 3.441, I = 522
28.7 deg, d 3.109, I = 678
28.8 deg, d 3.100, I = 424
29.6 deg, d 3.019, I = 880
31.9 deg, d 2.809, I = 378
34.3 deg, d 2.615, I = 369
34.5 deg, d 2.597, I = 393
46.5 deg, d 1.953, I = 347
47.0 deg, d 1.931, I = 387

Crystal structure
```
data_EuVSe2O8
_symmetry_space_group_name_H-M 'P 1'
_symmetry_Int_Tables_number 1
_cell_length_a 6.912
_cell_length_b 7.107
_cell_length_c 13.784
_cell_angle_alpha 90.00
_cell_angle_beta 91.20
_cell_angle_gamma 90.00
loop_
_symmetry_equiv_pos_as_xyz
'x,y,z'
loop_
_atom_site_label
_atom_site_type_symbol
_atom_site_fract_x
_atom_site_fract_y
_atom_site_fract_z
_atom_site_occupancy
Eu1 Eu 0.075 0.250 0.069 1
Eu2 Eu 0.378 0.750 0.137 1
Eu3 Eu 0.622 0.250 0.863 1
Eu4 Eu 0.925 0.750 0.931 1
V1 V 0.374 0.008 0.613 1
V2 V 0.374 0.492 0.613 1
V3 V 0.626 0.508 0.387 1
V4 V 0.626 0.992 0.387 1
Se1 Se 0.032 0.250 0.352 1
Se2 Se 0.104 0.250 0.840 1
Se3 Se 0.210 0.750 0.408 1
Se4 Se 0.449 0.750 0.862 1
Se5 Se 0.551 0.250 0.138 1
Se6 Se 0.790 0.250 0.592 1
Se7 Se 0.896 0.750 0.160 1
Se8 Se 0.968 0.750 0.648 1
O1 O 0.021 0.750 0.768 1
O2 O 0.030 0.578 0.101 1
O3 O 0.030 0.922 0.101 1
O4 O 0.098 0.555 0.604 1
O5 O 0.098 0.945 0.604 1
O6 O 0.209 0.750 0.286 1
O7 O 0.291 0.750 0.956 1
O8 O 0.302 0.250 0.918 1
O9 O 0.305 0.250 0.573 1
O10 O 0.363 0.555 0.437 1
O11 O 0.363 0.945 0.437 1
O12 O 0.384 0.076 0.108 1
O13 O 0.384 0.424 0.108 1
O14 O 0.411 0.060 0.729 1
O15 O 0.411 0.440 0.729 1
O16 O 0.423 0.750 0.616 1
O17 O 0.577 0.250 0.384 1
O18 O 0.589 0.560 0.271 1
O19 O 0.589 0.940 0.271 1
O20 O 0.616 0.576 0.892 1
O21 O 0.616 0.924 0.892 1
O22 O 0.637 0.055 0.563 1
O23 O 0.637 0.445 0.563 1
O24 O 0.695 0.750 0.427 1
O25 O 0.698 0.750 0.082 1
O26 O 0.709 0.250 0.044 1
O27 O 0.791 0.250 0.714 1
O28 O 0.902 0.055 0.396 1
O29 O 0.902 0.445 0.396 1
O30 O 0.970 0.078 0.899 1
O31 O 0.970 0.422 0.899 1
O32 O 0.979 0.250 0.232 1
```

***

Record 2
Structure and simulated X-ray diffraction stick pattern of SrSmEuVO6 (a structure optimized by DFT (PBE+U); CuKα).

Largest 12 diffraction maxima, sorted by position, 2θ = 5–70°:
14.6 deg, d 6.056, I = 20
17.9 deg, d 4.943, I = 102
29.5 deg, d 3.027, I = 1000
34.7 deg, d 2.582, I = 94
36.3 deg, d 2.472, I = 31
42.2 deg, d 2.141, I = 284
46.2 deg, d 1.964, I = 51
52.3 deg, d 1.748, I = 441
55.8 deg, d 1.648, I = 26
61.2 deg, d 1.514, I = 166
64.4 deg, d 1.447, I = 26
69.4 deg, d 1.354, I = 183

Crystal structure
```
data_SrSmEuVO6
_symmetry_space_group_name_H-M 'P 1'
_symmetry_Int_Tables_number 1
_cell_length_a 8.558
_cell_length_b 8.561
_cell_length_c 8.568
_cell_angle_alpha 90.00
_cell_angle_beta 90.00
_cell_angle_gamma 90.00
loop_
_symmetry_equiv_pos_as_xyz
'x,y,z'
loop_
_atom_site_label
_atom_site_type_symbol
_atom_site_fract_x
_atom_site_fract_y
_atom_site_fract_z
_atom_site_occupancy
Sr1 Sr 0.000 0.000 0.000 1
Sr2 Sr 0.000 0.500 0.000 1
Sr3 Sr 0.500 0.000 0.000 1
Sr4 Sr 0.500 0.500 0.500 1
Sm1 Sm 0.250 0.251 0.751 1
Sm2 Sm 0.250 0.749 0.249 1
Sm3 Sm 0.750 0.251 0.249 1
Sm4 Sm 0.750 0.749 0.751 1
Eu1 Eu 0.000 0.000 0.500 1
Eu2 Eu 0.000 0.500 0.500 1
Eu3 Eu 0.500 0.000 0.500 1
Eu4 Eu 0.500 0.500 0.000 1
V1 V 0.250 0.251 0.249 1
V2 V 0.250 0.749 0.751 1
V3 V 0.750 0.251 0.751 1
V4 V 0.750 0.749 0.249 1
O1 O 0.024 0.209 0.217 1
O2 O 0.024 0.791 0.783 1
O3 O 0.208 0.285 0.478 1
O4 O 0.208 0.715 0.522 1
O5 O 0.216 0.477 0.209 1
O6 O 0.216 0.523 0.791 1
O7 O 0.285 0.023 0.293 1
O8 O 0.285 0.977 0.707 1
O9 O 0.291 0.217 0.023 1
O10 O 0.291 0.783 0.977 1
O11 O 0.477 0.291 0.284 1
O12 O 0.477 0.709 0.716 1
O13 O 0.523 0.291 0.716 1
O14 O 0.523 0.709 0.284 1
O15 O 0.709 0.217 0.977 1
O16 O 0.709 0.783 0.023 1
O17 O 0.715 0.023 0.707 1
O18 O 0.715 0.977 0.293 1
O19 O 0.784 0.477 0.791 1
O20 O 0.784 0.523 0.209 1
O21 O 0.792 0.285 0.522 1
O22 O 0.792 0.715 0.478 1
O23 O 0.976 0.209 0.783 1
O24 O 0.976 0.791 0.217 1
```

***

Record 3
Structure and simulated X-ray diffraction stick pattern of SrSmEuVO6 (a structure optimized by DFT (PBE+U); CuKα).

Largest 10 diffraction maxima, sorted by position, 2θ = 5–70°:
18.6 deg, d 4.775, I = 142
30.6 deg, d 2.924, I = 1000
36.0 deg, d 2.494, I = 115
37.7 deg, d 2.388, I = 42
43.8 deg, d 2.068, I = 310
47.9 deg, d 1.897, I = 65
54.3 deg, d 1.688, I = 391
57.9 deg, d 1.592, I = 35
63.6 deg, d 1.462, I = 187
66.9 deg, d 1.398, I = 33

Crystal structure
```
data_SrSmEuVO6
_symmetry_space_group_name_H-M 'P 1'
_symmetry_Int_Tables_number 1
_cell_length_a 5.848
_cell_length_b 5.848
_cell_length_c 5.848
_cell_angle_alpha 60.00
_cell_angle_beta 60.00
_cell_angle_gamma 60.00
loop_
_symmetry_equiv_pos_as_xyz
'x,y,z'
loop_
_atom_site_label
_atom_site_type_symbol
_atom_site_fract_x
_atom_site_fract_y
_atom_site_fract_z
_atom_site_occupancy
Sr1 Sr 0.000 0.000 0.000 1
Sm1 Sm 0.250 0.250 0.250 1
Eu1 Eu 0.500 0.500 0.500 1
V1 V 0.750 0.750 0.750 1
O1 O 0.522 0.522 0.978 1
O2 O 0.522 0.978 0.522 1
O3 O 0.522 0.978 0.978 1
O4 O 0.978 0.522 0.522 1
O5 O 0.978 0.522 0.978 1
O6 O 0.978 0.978 0.522 1
```

***

Record 4
Structure and simulated X-ray diffraction stick pattern of SmEu2VO6 (a structure optimized by DFT (PBE+U); CuKα).

Largest 12 diffraction maxima, sorted by position, 2θ = 5–70°:
18.6 deg, d 4.782, I = 68
21.5 deg, d 4.142, I = 21
30.5 deg, d 2.929, I = 1000
36.0 deg, d 2.498, I = 62
37.6 deg, d 2.391, I = 69
43.7 deg, d 2.071, I = 293
47.9 deg, d 1.900, I = 37
49.2 deg, d 1.852, I = 15
54.3 deg, d 1.691, I = 394
57.8 deg, d 1.594, I = 18
63.5 deg, d 1.464, I = 179
66.8 deg, d 1.400, I = 17

Crystal structure
```
data_SmEu2VO6
_symmetry_space_group_name_H-M 'P 1'
_symmetry_Int_Tables_number 1
_cell_length_a 5.857
_cell_length_b 5.857
_cell_length_c 5.857
_cell_angle_alpha 60.00
_cell_angle_beta 60.00
_cell_angle_gamma 60.00
loop_
_symmetry_equiv_pos_as_xyz
'x,y,z'
loop_
_atom_site_label
_atom_site_type_symbol
_atom_site_fract_x
_atom_site_fract_y
_atom_site_fract_z
_atom_site_occupancy
Sm1 Sm 0.000 0.000 0.000 1
Eu1 Eu 0.250 0.250 0.250 1
Eu2 Eu 0.750 0.750 0.750 1
V1 V 0.500 0.500 0.500 1
O1 O 0.271 0.271 0.729 1
O2 O 0.271 0.729 0.271 1
O3 O 0.271 0.729 0.729 1
O4 O 0.729 0.271 0.271 1
O5 O 0.729 0.271 0.729 1
O6 O 0.729 0.729 0.271 1
```

***

Record 5
Structure and simulated X-ray diffraction stick pattern of EuV4SnO12 (a structure optimized by DFT (PBE+U); CuKα).

Largest 12 diffraction maxima, sorted by position, 2θ = 5–70°:
19.9 deg, d 4.460, I = 1000
32.6 deg, d 2.743, I = 325
32.9 deg, d 2.725, I = 649
38.5 deg, d 2.340, I = 189
38.6 deg, d 2.333, I = 187
38.9 deg, d 2.315, I = 186
40.4 deg, d 2.230, I = 155
46.7 deg, d 1.943, I = 151
46.9 deg, d 1.936, I = 147
47.5 deg, d 1.915, I = 145
51.7 deg, d 1.769, I = 162
58.5 deg, d 1.579, I = 129

Crystal structure
```
data_EuV4SnO12
_symmetry_space_group_name_H-M 'P 1'
_symmetry_Int_Tables_number 1
_cell_length_a 5.446
_cell_length_b 5.446
_cell_length_c 7.773
_cell_angle_alpha 90.00
_cell_angle_beta 90.00
_cell_angle_gamma 90.60
loop_
_symmetry_equiv_pos_as_xyz
'x,y,z'
loop_
_atom_site_label
_atom_site_type_symbol
_atom_site_fract_x
_atom_site_fract_y
_atom_site_fract_z
_atom_site_occupancy
Eu1 Eu 0.000 0.000 0.000 1
V1 V 0.000 0.500 0.246 1
V2 V 0.000 0.500 0.754 1
V3 V 0.500 0.000 0.246 1
V4 V 0.500 0.000 0.754 1
Sn1 Sn 0.500 0.500 0.500 1
O1 O 0.000 0.500 0.000 1
O2 O 0.000 0.500 0.500 1
O3 O 0.230 0.770 0.241 1
O4 O 0.230 0.770 0.759 1
O5 O 0.254 0.254 0.243 1
O6 O 0.254 0.254 0.757 1
O7 O 0.500 0.000 0.000 1
O8 O 0.500 0.000 0.500 1
O9 O 0.746 0.746 0.243 1
O10 O 0.746 0.746 0.757 1
O11 O 0.770 0.230 0.241 1
O12 O 0.770 0.230 0.759 1
```

***

Record 6
Structure and simulated X-ray diffraction stick pattern of EuZnSnWO6 (a structure optimized by DFT (PBE+U); CuKα).

Largest 10 diffraction maxima, sorted by position, 2θ = 5–70°:
19.1 deg, d 4.656, I = 129
31.4 deg, d 2.851, I = 1000
37.0 deg, d 2.431, I = 67
38.7 deg, d 2.328, I = 22
45.0 deg, d 2.016, I = 293
49.3 deg, d 1.850, I = 27
55.9 deg, d 1.646, I = 404
59.6 deg, d 1.552, I = 26
65.5 deg, d 1.426, I = 182
68.9 deg, d 1.363, I = 25

Crystal structure
```
data_EuZnSnWO6
_symmetry_space_group_name_H-M 'P 1'
_symmetry_Int_Tables_number 1
_cell_length_a 5.702
_cell_length_b 5.702
_cell_length_c 5.702
_cell_angle_alpha 60.00
_cell_angle_beta 60.00
_cell_angle_gamma 60.00
loop_
_symmetry_equiv_pos_as_xyz
'x,y,z'
loop_
_atom_site_label
_atom_site_type_symbol
_atom_site_fract_x
_atom_site_fract_y
_atom_site_fract_z
_atom_site_occupancy
Eu1 Eu 0.000 0.000 0.000 1
Zn1 Zn 0.750 0.750 0.750 1
Sn1 Sn 0.500 0.500 0.500 1
W1 W 0.250 0.250 0.250 1
O1 O 0.008 0.008 0.492 1
O2 O 0.008 0.492 0.008 1
O3 O 0.008 0.492 0.492 1
O4 O 0.492 0.008 0.008 1
O5 O 0.492 0.008 0.492 1
O6 O 0.492 0.492 0.008 1
```

***

Record 7
Structure and simulated X-ray diffraction stick pattern of SrTbEuVO6 (a structure optimized by DFT (PBE+U); CuKα).

Largest 10 diffraction maxima, sorted by position, 2θ = 5–70°:
18.4 deg, d 4.822, I = 158
30.3 deg, d 2.953, I = 1000
35.7 deg, d 2.518, I = 123
37.3 deg, d 2.411, I = 37
43.3 deg, d 2.088, I = 311
47.5 deg, d 1.916, I = 67
53.8 deg, d 1.705, I = 396
57.3 deg, d 1.607, I = 38
63.0 deg, d 1.476, I = 189
66.2 deg, d 1.412, I = 37

Crystal structure
```
data_SrTbEuVO6
_symmetry_space_group_name_H-M 'P 1'
_symmetry_Int_Tables_number 1
_cell_length_a 5.905
_cell_length_b 5.905
_cell_length_c 5.905
_cell_angle_alpha 60.00
_cell_angle_beta 60.00
_cell_angle_gamma 60.00
loop_
_symmetry_equiv_pos_as_xyz
'x,y,z'
loop_
_atom_site_label
_atom_site_type_symbol
_atom_site_fract_x
_atom_site_fract_y
_atom_site_fract_z
_atom_site_occupancy
Sr1 Sr 0.000 0.000 0.000 1
Tb1 Tb 0.250 0.250 0.250 1
Eu1 Eu 0.500 0.500 0.500 1
V1 V 0.750 0.750 0.750 1
O1 O 0.519 0.519 0.981 1
O2 O 0.519 0.981 0.519 1
O3 O 0.519 0.981 0.981 1
O4 O 0.981 0.519 0.519 1
O5 O 0.981 0.519 0.981 1
O6 O 0.981 0.981 0.519 1
```

***

Record 8
Structure and simulated X-ray diffraction stick pattern of SrEuZrVO6 (a structure optimized by DFT (PBE+U); CuKα).

Largest 12 diffraction maxima, sorted by position, 2θ = 5–70°:
19.0 deg, d 4.680, I = 97
21.9 deg, d 4.053, I = 31
31.2 deg, d 2.866, I = 1000
36.8 deg, d 2.444, I = 64
38.5 deg, d 2.340, I = 117
44.7 deg, d 2.026, I = 336
49.0 deg, d 1.860, I = 31
50.3 deg, d 1.812, I = 22
55.5 deg, d 1.655, I = 389
59.2 deg, d 1.560, I = 21
65.1 deg, d 1.433, I = 200
68.5 deg, d 1.370, I = 20

Crystal structure
```
data_SrEuZrVO6
_symmetry_space_group_name_H-M 'P 1'
_symmetry_Int_Tables_number 1
_cell_length_a 5.731
_cell_length_b 5.731
_cell_length_c 5.731
_cell_angle_alpha 60.00
_cell_angle_beta 60.00
_cell_angle_gamma 60.00
loop_
_symmetry_equiv_pos_as_xyz
'x,y,z'
loop_
_atom_site_label
_atom_site_type_symbol
_atom_site_fract_x
_atom_site_fract_y
_atom_site_fract_z
_atom_site_occupancy
Sr1 Sr 0.000 0.000 0.000 1
Eu1 Eu 0.500 0.500 0.500 1
Zr1 Zr 0.250 0.250 0.250 1
V1 V 0.750 0.750 0.750 1
O1 O 0.508 0.508 0.992 1
O2 O 0.508 0.992 0.508 1
O3 O 0.508 0.992 0.992 1
O4 O 0.992 0.508 0.508 1
O5 O 0.992 0.508 0.992 1
O6 O 0.992 0.992 0.508 1
```

***

Record 9
Structure and simulated X-ray diffraction stick pattern of Sr2EuWO6 (a structure optimized by DFT (PBE+U); CuKα).

Largest 12 diffraction maxima, sorted by position, 2θ = 5–70°:
21.0 deg, d 4.222, I = 554
29.4 deg, d 3.036, I = 473
29.9 deg, d 2.993, I = 1000
30.0 deg, d 2.976, I = 992
30.4 deg, d 2.940, I = 469
42.8 deg, d 2.111, I = 706
52.5 deg, d 1.744, I = 153
52.6 deg, d 1.741, I = 175
52.9 deg, d 1.732, I = 213
53.6 deg, d 1.711, I = 213
53.9 deg, d 1.701, I = 237
62.4 deg, d 1.488, I = 131

Crystal structure
```
data_Sr2EuWO6
_symmetry_space_group_name_H-M 'P 1'
_symmetry_Int_Tables_number 1
_cell_length_a 5.880
_cell_length_b 6.072
_cell_length_c 10.244
_cell_angle_alpha 90.00
_cell_angle_beta 124.57
_cell_angle_gamma 90.00
loop_
_symmetry_equiv_pos_as_xyz
'x,y,z'
loop_
_atom_site_label
_atom_site_type_symbol
_atom_site_fract_x
_atom_site_fract_y
_atom_site_fract_z
_atom_site_occupancy
Sr1 Sr 0.235 0.053 0.249 1
Sr2 Sr 0.235 0.447 0.749 1
Sr3 Sr 0.765 0.553 0.251 1
Sr4 Sr 0.765 0.947 0.751 1
Eu1 Eu 0.500 0.000 0.000 1
Eu2 Eu 0.500 0.500 0.500 1
W1 W 0.000 0.000 0.500 1
W2 W 0.000 0.500 0.000 1
O1 O 0.116 0.229 0.944 1
O2 O 0.116 0.271 0.444 1
O3 O 0.221 0.679 0.950 1
O4 O 0.221 0.821 0.450 1
O5 O 0.321 0.034 0.722 1
O6 O 0.321 0.466 0.222 1
O7 O 0.679 0.534 0.778 1
O8 O 0.679 0.966 0.278 1
O9 O 0.779 0.179 0.550 1
O10 O 0.779 0.321 0.050 1
O11 O 0.884 0.729 0.556 1
O12 O 0.884 0.771 0.056 1
```

***

Record 10
Structure and simulated X-ray diffraction stick pattern of Sr2EuWO6 (a structure optimized by DFT (PBE+U); CuKα).

Largest 12 diffraction maxima, sorted by position, 2θ = 5–70°:
17.9 deg, d 4.963, I = 20
20.7 deg, d 4.298, I = 176
29.4 deg, d 3.039, I = 1000
32.9 deg, d 2.719, I = 6
36.2 deg, d 2.482, I = 12
39.2 deg, d 2.298, I = 5
42.0 deg, d 2.149, I = 269
47.3 deg, d 1.922, I = 75
52.1 deg, d 1.755, I = 442
61.0 deg, d 1.520, I = 161
65.1 deg, d 1.433, I = 32
69.1 deg, d 1.359, I = 188

Crystal structure
```
data_Sr2EuWO6
_symmetry_space_group_name_H-M 'P 1'
_symmetry_Int_Tables_number 1
_cell_length_a 8.597
_cell_length_b 8.597
_cell_length_c 8.597
_cell_angle_alpha 90.00
_cell_angle_beta 90.00
_cell_angle_gamma 90.00
loop_
_symmetry_equiv_pos_as_xyz
'x,y,z'
loop_
_atom_site_label
_atom_site_type_symbol
_atom_site_fract_x
_atom_site_fract_y
_atom_site_fract_z
_atom_site_occupancy
Sr1 Sr 0.250 0.250 0.250 1
Sr2 Sr 0.250 0.250 0.750 1
Sr3 Sr 0.250 0.750 0.250 1
Sr4 Sr 0.250 0.750 0.750 1
Sr5 Sr 0.750 0.250 0.250 1
Sr6 Sr 0.750 0.250 0.750 1
Sr7 Sr 0.750 0.750 0.250 1
Sr8 Sr 0.750 0.750 0.750 1
Eu1 Eu 0.000 0.000 0.000 1
Eu2 Eu 0.000 0.500 0.500 1
Eu3 Eu 0.500 0.000 0.500 1
Eu4 Eu 0.500 0.500 0.000 1
W1 W 0.000 0.000 0.500 1
W2 W 0.000 0.500 0.000 1
W3 W 0.500 0.000 0.000 1
W4 W 0.500 0.500 0.500 1
O1 O 0.035 0.543 0.776 1
O2 O 0.035 0.957 0.724 1
O3 O 0.043 0.224 0.535 1
O4 O 0.043 0.276 0.965 1
O5 O 0.224 0.535 0.043 1
O6 O 0.224 0.965 0.457 1
O7 O 0.276 0.535 0.457 1
O8 O 0.276 0.965 0.043 1
O9 O 0.457 0.224 0.965 1
O10 O 0.457 0.276 0.535 1
O11 O 0.465 0.543 0.724 1
O12 O 0.465 0.957 0.776 1
O13 O 0.535 0.043 0.224 1
O14 O 0.535 0.457 0.276 1
O15 O 0.543 0.724 0.465 1
O16 O 0.543 0.776 0.035 1
O17 O 0.724 0.035 0.957 1
O18 O 0.724 0.465 0.543 1
O19 O 0.776 0.035 0.543 1
O20 O 0.776 0.465 0.957 1
O21 O 0.957 0.724 0.035 1
O22 O 0.957 0.776 0.465 1
O23 O 0.965 0.043 0.276 1
O24 O 0.965 0.457 0.224 1
```